1.
The following is a calculated XRD peak list of Ag2TeI. It was derived from a cell relaxed with PBE, using Cu Kα, 1.54184 Å.

Top 6 peaks for 5 to 70 degrees two-theta, in order of rising 2θ:
2θ/deg	I_rel	hkl
22.2	100	1 1 -1
27.2	83	2 0 2
34.5	64	3 1 -2
37.2	76	0 2 0
39.4	90	1 1 3
40.7	73	5 1 -1

Cell and atoms:
```
16
Lattice="12.7623 0.0000 0.0000 0.0000 4.8388 0.0000 -0.7823 0.0000 8.1161" Properties=species:S:1:pos:R:3 pbc="T T T"
Ag 0.5172 4.8381 2.3729
Ag 1.5964 0.0000 8.0599
Ag 4.0024 2.4194 0.0563
Ag 5.0817 2.4186 5.7432
Ag 6.8983 2.4186 2.3729
Ag 7.9776 2.4194 8.0599
Ag 10.3835 0.0000 0.0563
Ag 11.4628 4.8381 5.7432
Te 1.1066 2.4273 0.9205
Te 4.4923 0.0079 7.1956
Te 7.4877 0.0079 0.9205
Te 10.8734 2.4273 7.1956
I 1.4704 0.0507 5.1064
I 4.1284 2.4701 3.0097
I 7.8516 2.4701 5.1064
I 10.5095 0.0507 3.0097
```

---

2.
The following is a calculated XRD peak list of LaInPb. It was derived from a cell relaxed with PBE, using Cu Kα, 1.54184 Å.

Top 6 peaks for 5 to 70 degrees two-theta, in order of rising 2θ:
2θ/deg	I_rel	hkl
32.1	100	1 0 3
32.5	52	1 1 0
46.6	19	2 0 0
56.9	16	1 1 6
57.7	38	2 1 3
67.1	10	2 0 6

Cell and atoms:
```
6
Lattice="3.8950 0.0000 0.0000 0.0000 3.8950 0.0000 0.0000 0.0000 11.9916" Properties=species:S:1:pos:R:3 pbc="T T T"
La 0.0000 0.0000 0.0000
La 1.9475 1.9475 5.9958
In 0.0000 0.0000 8.0952
In 1.9475 1.9475 2.0994
Pb 0.0000 0.0000 3.7076
Pb 1.9475 1.9475 9.7034
```

---

3.
The following is a calculated XRD peak list of MnTe2. It was derived from a cell relaxed with PBE, using Cu Kα, 1.54184 Å.

Top 6 peaks for 5 to 70 degrees two-theta, in order of rising 2θ:
2θ/deg	I_rel	hkl
27.1	35	0 0 2
27.7	100	2 0 -1
33.0	30	1 1 1
35.6	55	1 1 -2
42.4	34	1 1 2
48.3	53	0 2 0

Cell and atoms:
```
6
Lattice="6.5333 0.0000 0.0000 0.0000 3.7658 0.0000 -2.2253 0.0000 6.5896" Properties=species:S:1:pos:R:3 pbc="T T T"
Mn 0.0000 0.0000 0.0000
Mn 3.2667 1.8829 0.0000
Te -1.1350 1.8829 4.9380
Te 1.0932 1.8829 1.6361
Te 2.1317 0.0000 4.9380
Te 4.3599 0.0000 1.6361
```